# 1
Structure and calculated X-ray diffraction stick pattern of Ac8Os3Br4O (DFT lattice parameters and positions (GGA-PBE); Cu Kα (λ = 1.5418 Å)).
No peak broadening, texture or thermal motion is included.

Largest 10 diffraction maxima, low angle first, 2θ from 5° to 70°:
2theta, I/Imax
10.69, 38.0
25.22, 13.6
28.18, 100.0
35.13, 23.3
37.92, 26.7
42.51, 39.3
47.24, 15.9
51.78, 18.8
54.49, 9.4
69.17, 18.0

Structure:
a = 14.7396 Å, b = 8.5010 Å, c = 9.6291 Å
α = 90.00°, β = 120.76°, γ = 90.00°
Space group C2/m (No. 12)
Inequivalent atoms, fractional coordinates:
Ac 0.0186 0.2441 0.3123
Ac 0.2262 0.0000 0.6882
Ac 0.2339 0.5000 0.7013
Os 0.0000 0.5000 0.5000
Os 0.2500 0.2500 0.5000
Br 0.0000 0.0000 0.0000
Br 0.0000 0.5000 0.0000
Br 0.2500 0.2500 0.0000
O 0.0000 0.0000 0.5000


# 2
Structure and calculated X-ray diffraction stick pattern of Ba14Na6P3 (DFT lattice parameters and positions (GGA-PBE); Cu Kα (λ = 1.5418 Å)).
No peak broadening, texture or thermal motion is included.

Largest 10 diffraction maxima, low angle first, 2θ from 5° to 70°:
2theta, I/Imax
20.93, 32.3
23.12, 48.9
23.61, 100.0
26.17, 67.5
26.95, 37.2
36.59, 17.3
40.91, 22.2
41.41, 24.7
41.76, 53.1
60.55, 16.3

Structure:
a = 12.9673 Å, b = 12.9673 Å, c = 8.1900 Å
α = 90.00°, β = 90.00°, γ = 120.00°
Space group P3 (No. 143)
Inequivalent atoms, fractional coordinates:
Ba 0.0000 0.0000 0.0000
Ba 0.1052 0.5525 0.6508
Ba 0.2193 0.4382 0.1819
Ba 0.2433 0.1217 0.4345
Ba 0.4204 0.2106 0.9299
Ba 0.6667 0.3333 0.4895
Na 0.1310 0.2621 0.7348
Na 0.5365 0.0741 0.2237
P 0.0000 0.0000 0.6251
P 0.3333 0.6667 0.4174
P 0.6667 0.3333 0.1088


# 3
Structure and calculated X-ray diffraction stick pattern of Pu3BRh4 (DFT lattice parameters and positions (GGA-PBE); Cu Kα (λ = 1.5418 Å)).
No peak broadening, texture or thermal motion is included.

Largest 10 diffraction maxima, low angle first, 2θ from 5° to 70°:
2theta, I/Imax
22.07, 21.8
30.19, 25.4
32.04, 26.6
34.47, 19.9
34.75, 36.9
36.35, 25.3
37.18, 100.0
47.77, 19.1
49.87, 33.8
67.01, 21.4

Structure:
a = 5.5874 Å, b = 8.7316 Å, c = 5.8086 Å
α = 90.00°, β = 90.00°, γ = 90.00°
Space group Imm2 (No. 44)
Inequivalent atoms, fractional coordinates:
Pu 0.0000 0.0000 0.0000
Pu 0.0000 0.3068 0.2613
B 0.0000 0.5000 0.6589
Rh 0.0000 0.2536 0.7206
Rh 0.2444 0.0000 0.4422


# 4
Structure and calculated X-ray diffraction stick pattern of NaHf2In2 (DFT lattice parameters and positions (GGA-PBE); Cu Kα (λ = 1.5418 Å)).
No peak broadening, texture or thermal motion is included.

Largest 10 diffraction maxima, low angle first, 2θ from 5° to 70°:
2theta, I/Imax
14.01, 63.3
31.65, 40.0
36.23, 23.4
36.75, 100.0
40.36, 19.0
42.92, 12.7
46.98, 16.2
50.39, 10.0
63.63, 17.1
68.29, 11.5

Structure:
a = 8.9391 Å, b = 8.9391 Å, c = 3.0910 Å
α = 90.00°, β = 90.00°, γ = 90.00°
Space group P4/mbm (No. 127)
Inequivalent atoms, fractional coordinates:
Na 0.0000 0.0000 0.0000
Hf 0.1230 0.3770 0.5000
In 0.1726 0.6726 0.0000


# 5
Structure and calculated X-ray diffraction stick pattern of Rb3Th3BiTe8 (DFT lattice parameters and positions (GGA-PBE); Cu Kα (λ = 1.5418 Å)).
No peak broadening, texture or thermal motion is included.

Largest 10 diffraction maxima, low angle first, 2θ from 5° to 70°:
2theta, I/Imax
10.02, 53.4
26.44, 100.0
32.92, 19.7
35.51, 38.1
39.87, 35.9
41.20, 13.7
44.17, 12.8
48.48, 19.3
58.44, 13.1
64.51, 16.4

Structure:
a = 9.0447 Å, b = 9.0447 Å, c = 26.4760 Å
α = 90.00°, β = 90.00°, γ = 120.00°
Space group R-3m (No. 166, hexagonal axes)
Inequivalent atoms, fractional coordinates:
Rb 0.0000 0.5000 0.0000
Th 0.0000 0.5000 0.5000
Bi 0.0000 0.0000 0.5000
Te 0.0000 0.0000 0.2361
Te 0.0025 0.5013 0.7650


# 6
Structure and calculated X-ray diffraction stick pattern of Nb6Sn5 (DFT lattice parameters and positions (GGA-PBE); Cu Kα (λ = 1.5418 Å)).
No peak broadening, texture or thermal motion is included.

Largest 10 diffraction maxima, low angle first, 2θ from 5° to 70°:
2theta, I/Imax
32.91, 22.9
36.83, 16.8
37.27, 88.5
38.08, 57.9
38.57, 100.0
38.75, 39.8
39.35, 26.0
55.46, 24.0
65.57, 13.7
67.42, 17.3

Structure:
a = 5.6954 Å, b = 9.2960 Å, c = 16.9356 Å
α = 90.00°, β = 90.00°, γ = 90.00°
Space group Immm (No. 71)
Inequivalent atoms, fractional coordinates:
Nb 0.0000 0.0000 0.1545
Nb 0.0000 0.2703 0.4163
Nb 0.2404 0.0000 0.5000
Nb 0.2500 0.2500 0.2500
Sn 0.0000 0.0000 0.3321
Sn 0.0000 0.3066 0.1037
Sn 0.0000 0.5000 0.2950
Sn 0.2444 0.0000 0.0000


# 7
Structure and calculated X-ray diffraction stick pattern of Ac2MgZnIn6 (DFT lattice parameters and positions (GGA-PBE); Cu Kα (λ = 1.5418 Å)).
No peak broadening, texture or thermal motion is included.

Largest 10 diffraction maxima, low angle first, 2θ from 5° to 70°:
2theta, I/Imax
25.97, 56.1
26.53, 53.2
30.88, 62.8
32.68, 100.0
34.57, 57.7
34.79, 50.8
35.06, 52.7
35.22, 65.2
35.45, 45.7
35.95, 53.6

Structure:
a = 6.1269 Å, b = 7.2395 Å, c = 7.4350 Å
α = 75.44°, β = 68.83°, γ = 69.73°
Space group P-1 (No. 2)
Inequivalent atoms, fractional coordinates:
Ac 0.0034 0.2523 0.2571
Mg 0.5000 0.5000 0.0000
Zn 0.5000 0.0000 0.5000
In 0.0091 0.7722 0.2222
In 0.3681 0.4099 0.4204
In 0.4925 0.1716 0.8135